No. 1
This entry pairs a crystal structure of TbPm4Nd2Er2 with its computed powder diffraction line list. Radiation: Cu Kα (weighted mean of Kα1 and Kα2). Structure: a crystal structure in Alexandria, relaxed with GGA-PBE.
Peak positions follow from Bragg's law for the DFT cell and can differ from measured ones.

Largest 10 diffraction maxima, in order of rising 2θ, 15° ≤ 2θ ≤ 90°:
Position (°2θ)	intensity	h k l
30.28	100.0	3 1 1
35.04	34.0	0 2 0
35.24	16.7	0 0 3
50.39	12.2	6 2 -1
50.54	24.1	6 0 2
59.93	28.9	9 1 0
60.19	14.2	3 1 4
62.98	12.4	6 2 2
82.26	11.7	9 1 3
84.63	6.9	12 2 -2

Atomic structure:
```
data_TbPm4Nd2Er2
_symmetry_space_group_name_H-M 'C 1 2/m 1'
_symmetry_Int_Tables_number 12
_symmetry_space_group_name_Hall '-C 2y'
_cell_length_a 15.367
_cell_length_b 5.121
_cell_length_c 8.061
_cell_angle_alpha 90.00
_cell_angle_beta 108.58
_cell_angle_gamma 90.00
loop_
_atom_site_label
_atom_site_fract_x
_atom_site_fract_y
_atom_site_fract_z
Tb1 0.000 0.000 0.000
Pm1 0.055 0.500 0.330
Pm2 0.222 0.000 0.330
Nd1 0.112 0.000 0.669
Er1 0.167 0.500 0.000
```

No. 2
This entry pairs a crystal structure of KLiTm2Br8 with its computed powder diffraction line list. Radiation: Cu Kα (weighted mean of Kα1 and Kα2). Structure: a crystal structure in Alexandria, relaxed with GGA-PBE.
Peak positions follow from Bragg's law for the DFT cell and can differ from measured ones.

Largest 10 diffraction maxima, in order of rising 2θ, 15° ≤ 2θ ≤ 90°:
Position (°2θ)	intensity	h k l
16.67	66.9	1 0 -1
19.17	30.2	1 0 1
26.84	100.0	1 2 -1
29.88	50.2	1 0 2
34.09	20.4	1 2 -2
34.55	62.1	2 2 -1
37.18	26.5	2 2 1
42.51	22.6	0 4 0
43.79	43.4	0 2 3
48.37	27.4	3 2 1

Atomic structure:
```
data_KLiTm2Br8
_symmetry_space_group_name_H-M 'P 1 2/m 1'
_symmetry_Int_Tables_number 10
_symmetry_space_group_name_Hall '-P 2y'
_cell_length_a 6.944
_cell_length_b 8.506
_cell_length_c 7.165
_cell_angle_alpha 90.00
_cell_angle_beta 97.93
_cell_angle_gamma 90.00
loop_
_atom_site_label
_atom_site_fract_x
_atom_site_fract_y
_atom_site_fract_z
K1 0.000 0.000 0.000
Li1 0.000 0.500 0.000
Tm1 0.500 0.257 0.500
Br1 0.249 0.281 0.173
Br2 0.284 0.500 0.642
Br3 0.296 0.000 0.634
```

No. 3
This entry pairs a crystal structure of Be12Co with its computed powder diffraction line list. Radiation: Cu Kα (weighted mean of Kα1 and Kα2). Structure: a crystal structure in Alexandria, relaxed with GGA-PBE.
Peak positions follow from Bragg's law for the DFT cell and can differ from measured ones.

Largest 10 diffraction maxima, in order of rising 2θ, 15° ≤ 2θ ≤ 90°:
Position (°2θ)	intensity	h k l
17.53	100.0	1 1 0
24.88	31.8	2 0 0
25.08	81.9	1 0 1
35.48	19.1	2 2 0
35.62	84.4	2 1 1
39.83	34.0	3 1 0
43.94	43.0	3 0 1
51.05	23.6	4 0 0
51.15	61.6	3 2 1
51.47	35.2	2 0 2

Atomic structure:
```
data_Be12Co
_symmetry_space_group_name_H-M 'I 4/m m m'
_symmetry_Int_Tables_number 139
_symmetry_space_group_name_Hall '-I 4 2'
_cell_length_a 7.157
_cell_length_b 7.157
_cell_length_c 4.090
_cell_angle_alpha 90.00
_cell_angle_beta 90.00
_cell_angle_gamma 90.00
loop_
_atom_site_label
_atom_site_fract_x
_atom_site_fract_y
_atom_site_fract_z
Be1 0.000 0.213 0.000
Be2 0.000 0.345 0.500
Be3 0.250 0.250 0.250
Co1 0.000 0.000 0.500
```

No. 4
This entry pairs a crystal structure of AcLa3In2 with its computed powder diffraction line list. Radiation: Cu Kα (weighted mean of Kα1 and Kα2). Structure: a crystal structure in Alexandria, relaxed with GGA-PBE.
Peak positions follow from Bragg's law for the DFT cell and can differ from measured ones.

Largest 10 diffraction maxima, in order of rising 2θ, 15° ≤ 2θ ≤ 90°:
Position (°2θ)	intensity	h k l
27.56	65.8	2 0 2
27.76	21.4	3 1 1
28.91	100.0	5 1 -1
30.00	82.4	1 1 2
30.43	26.1	5 1 0
31.59	27.3	5 1 -2
34.64	57.8	0 2 0
35.96	23.4	6 0 1
44.79	22.7	2 2 2
56.38	26.3	3 1 4

Atomic structure:
```
data_AcLa3In2
_symmetry_space_group_name_H-M 'C 1 2/m 1'
_symmetry_Int_Tables_number 12
_symmetry_space_group_name_Hall '-C 2y'
_cell_length_a 19.279
_cell_length_b 5.180
_cell_length_c 8.703
_cell_angle_alpha 90.00
_cell_angle_beta 112.31
_cell_angle_gamma 90.00
loop_
_atom_site_label
_atom_site_fract_x
_atom_site_fract_y
_atom_site_fract_z
Ac1 0.116 0.000 0.180
La1 0.064 0.000 0.678
La2 0.121 0.500 0.521
La3 0.198 0.500 0.963
In1 0.016 0.500 0.846
In2 0.240 0.000 0.631
```

No. 5
This entry pairs a crystal structure of La5Nd5Mg2 with its computed powder diffraction line list. Radiation: Cu Kα (weighted mean of Kα1 and Kα2). Structure: a crystal structure in Alexandria, relaxed with GGA-PBE.
Peak positions follow from Bragg's law for the DFT cell and can differ from measured ones.

Largest 10 diffraction maxima, in order of rising 2θ, 15° ≤ 2θ ≤ 90°:
Position (°2θ)	intensity	h k l
29.00	26.6	6 0 -2
30.21	73.0	0 0 4
31.62	100.0	3 1 -3
31.83	98.9	3 1 1
32.58	21.7	6 0 -4
32.99	20.9	6 0 0
50.67	27.3	9 1 -3
54.83	24.2	3 1 5
58.13	26.8	0 2 4
59.78	23.1	9 1 -7

Atomic structure:
```
data_La5Nd5Mg2
_symmetry_space_group_name_H-M 'C 1 2/m 1'
_symmetry_Int_Tables_number 12
_symmetry_space_group_name_Hall '-C 2y'
_cell_length_a 18.477
_cell_length_b 3.760
_cell_length_c 13.423
_cell_angle_alpha 90.00
_cell_angle_beta 118.15
_cell_angle_gamma 90.00
loop_
_atom_site_label
_atom_site_fract_x
_atom_site_fract_y
_atom_site_fract_z
La1 0.000 0.000 0.000
La2 0.121 0.000 0.755
La3 0.162 0.000 0.489
Nd1 0.000 0.500 0.500
Nd2 0.170 0.500 0.011
Nd3 0.203 0.000 0.256
Mg1 0.038 0.500 0.243
```

No. 6
This entry pairs a crystal structure of Cs2PuNpSe4 with its computed powder diffraction line list. Radiation: Cu Kα (weighted mean of Kα1 and Kα2). Structure: a crystal structure in Alexandria, relaxed with GGA-PBE.
Peak positions follow from Bragg's law for the DFT cell and can differ from measured ones.

Largest 10 diffraction maxima, in order of rising 2θ, 15° ≤ 2θ ≤ 90°:
Position (°2θ)	intensity	h k l
21.28	16.1	0 0 2
24.78	22.5	2 0 0
27.73	100.0	1 1 1
37.42	34.4	2 0 2
41.72	36.6	0 2 0
43.42	18.2	0 0 4
47.30	12.4	3 1 1
50.83	18.8	4 0 0
61.75	15.4	3 1 3
67.79	16.0	4 2 0

Atomic structure:
```
data_Cs2PuNpSe4
_symmetry_space_group_name_H-M 'P 1 2/m 1'
_symmetry_Int_Tables_number 10
_symmetry_space_group_name_Hall '-P 2y'
_cell_length_a 7.500
_cell_length_b 4.330
_cell_length_c 8.716
_cell_angle_alpha 90.00
_cell_angle_beta 106.66
_cell_angle_gamma 90.00
loop_
_atom_site_label
_atom_site_fract_x
_atom_site_fract_y
_atom_site_fract_z
Cs1 0.000 0.000 0.000
Cs2 0.500 0.500 0.000
Pu1 0.000 0.500 0.500
Np1 0.500 0.000 0.500
Se1 0.232 0.000 0.684
Se2 0.275 0.500 0.316
```